Computed X-ray powder pattern of BaMn3B4O12 for Cu Kα (λ = 1.5418 Å), from a crystal structure in Alexandria, relaxed with PBE+U.
Kinematic intensities with the Lorentz-polarization factor, no thermal factor.

Crystal structure
Cell lengths 6.218, 6.218, 6.218 Å; angles 102.70, 102.70, 102.70 degrees
Element x y z (fractional)
Ba 0.000 0.000 0.000
Mn 0.000 0.551 0.449
Mn 0.449 0.000 0.551
Mn 0.551 0.449 0.000
B 0.058 0.500 0.942
B 0.500 0.500 0.500
B 0.500 0.942 0.058
B 0.942 0.058 0.500
O 0.012 0.599 0.768
O 0.089 0.911 0.500
O 0.232 0.401 0.988
O 0.357 0.643 0.500
O 0.401 0.988 0.232
O 0.500 0.089 0.911
O 0.500 0.357 0.643
O 0.599 0.768 0.012
O 0.643 0.500 0.357
O 0.768 0.012 0.599
O 0.911 0.500 0.089
O 0.988 0.232 0.401

Principal peaks in the range 2θ = 10–80°, by angle:
23.9°, rel. 68
30.2°, rel. 21
30.7°, rel. 100
37.0°, rel. 20
44.9°, rel. 21
50.7°, rel. 24